Calculated powder diffractogram of NaLa2TaTi2O12 for Cu Kα, from a crystal structure in Alexandria, relaxed with GGA-PBE.

Most intense lines, 10° ≤ 2θ ≤ 90°, sorted by position:
2theta  Rel. int.  h k l
11.1  64  0 0 2
23.4  24  0 1 -1
28.3  69  0 1 -3
30.1  48  1 0 3
30.4  44  1 0 -4
32.1  51  0 1 4
32.6  100  1 1 0
39.7  23  0 0 7
46.4  28  0 2 0
46.7  31  2 0 -1

Atomic structure:
Unit cell a=3.890 b=3.915 c=15.994 alpha=90.11 beta=96.34 gamma=90.00
Sites, in units of the cell vectors:
Na: 0.000 0.000 0.000
La: 0.726 0.487 0.406
La: 0.851 0.489 0.682
Ta: 0.159 0.999 0.259
Ti: 0.283 0.993 0.533
Ti: 0.409 0.995 0.811
O: 0.108 0.000 0.146
O: 0.173 0.501 0.289
O: 0.226 0.010 0.406
O: 0.279 0.505 0.524
O: 0.337 0.005 0.651
O: 0.393 0.496 0.775
O: 0.458 0.997 0.918
O: 0.585 0.499 0.049
O: 0.596 0.500 0.126
O: 0.673 0.001 0.290
O: 0.779 0.012 0.524
O: 0.894 0.995 0.777